Record 1
This entry pairs a crystal structure of MnZnSiO5 with its simulated powder diffraction line list. Radiation: Cu Kα (λ = 1.5418 Å). Structure: the GGA+U geometry in the Materials Project.

Largest 10 diffraction maxima, low angle first, 2θ = 15–90°:
hkl  Position (°2θ)  Rel. int.
0 1 0  17.93  130
0 1 -1  18.17  216
1 0 -2  27.39  1000
1 1 0  28.48  981
2 -1 0  36.39  707
-1 1 2  36.44  113
0 1 -3  40.02  123
1 1 -4  51.32  236
0 2 2  55.41  126
3 0 0  55.74  216

```
data_MnZnSiO5
_space_group_name_H-M_alt 'P 1'
_space_group_IT_number 1
_cell_length_a 5.3782
_cell_length_b 5.3865
_cell_length_c 7.1242
_cell_angle_alpha 108.67
_cell_angle_beta 108.40
_cell_angle_gamma 96.86
loop_
_space_group_symop_operation_xyz
'x,y,z'
loop_
_atom_site_label
_atom_site_type_symbol
_atom_site_fract_x
_atom_site_fract_y
_atom_site_fract_z
_atom_site_occupancy
Mn1 Mn 0.0000 0.0000 0.0000 1
Mn2 Mn 0.0005 0.0016 0.5003 1
Zn1 Zn 0.3381 0.7104 0.2481 1
Zn2 Zn 0.6530 0.2799 0.7402 1
Si1 Si 0.3603 0.6696 0.7537 1
Si2 Si 0.6431 0.3343 0.2475 1
O1 O 0.0714 0.9169 0.2472 1
O2 O 0.2407 0.7686 0.9432 1
O3 O 0.2782 0.3359 0.6303 1
O4 O 0.2875 0.8273 0.5879 1
O5 O 0.3125 0.3071 0.1500 1
O6 O 0.6898 0.6919 0.8496 1
O7 O 0.7177 0.1818 0.4169 1
O8 O 0.7206 0.6685 0.3672 1
O9 O 0.7625 0.2328 0.0581 1
O10 O 0.9303 0.0852 0.7536 1
```

Record 2
This entry pairs a crystal structure of LiFeF6 with its simulated powder diffraction line list. Radiation: Cu Kα (λ = 1.5418 Å). Structure: the GGA+U geometry in the Materials Project.

Largest 10 diffraction maxima, low angle first, 2θ = 15–90°:
hkl  Position (°2θ)  Rel. int.
0 0 2  20.36  326
1 0 1  21.34  1000
1 1 0  26.60  337
1 1 2  33.74  180
1 1 3  41.11  330
2 1 0  42.67  103
2 1 1  43.97  127
2 1 3  53.51  218
2 2 0  54.80  121
3 0 3  67.49  120

```
data_LiFeF6
_space_group_name_H-M_alt 'P 42 n m'
_space_group_IT_number 102
_cell_length_a 4.7383
_cell_length_b 4.7383
_cell_length_c 8.7217
_cell_angle_alpha 90.00
_cell_angle_beta 90.00
_cell_angle_gamma 90.00
loop_
_space_group_symop_operation_xyz
'x,y,z'
'-y+1/2,x+1/2,z+1/2'
'-x,-y,z'
'y+1/2,-x+1/2,z+1/2'
'-x+1/2,y+1/2,z+1/2'
'y,x,z'
'x+1/2,-y+1/2,z+1/2'
'-y,-x,z'
loop_
_atom_site_label
_atom_site_type_symbol
_atom_site_fract_x
_atom_site_fract_y
_atom_site_fract_z
_atom_site_occupancy
Li1 Li 0.0000 0.0000 0.0000 1
Fe1 Fe 0.0000 0.0000 0.6532 1
F1 F 0.1839 0.1839 0.8028 1
F2 F 0.1900 0.1900 0.5092 1
F3 F 0.2322 0.2322 0.1532 1
```

Record 3
This entry pairs a crystal structure of LiMnPH2O5 with its simulated powder diffraction line list. Radiation: Cu Kα (λ = 1.5418 Å). Structure: the GGA+U geometry in the Materials Project.

Largest 10 diffraction maxima, low angle first, 2θ = 15–90°:
hkl  Position (°2θ)  Rel. int.
1 1 0  18.95  292
0 1 1  21.16  324
1 0 1  24.16  158
1 1 1  26.45  685
2 0 0  31.66  406
1 2 1  32.40  1000
2 1 1  38.40  169
1 3 1  40.61  302
2 1 2  50.76  146
3 2 1  56.86  157

```
data_LiMnPH2O5
_space_group_name_H-M_alt 'P m n 21'
_space_group_IT_number 31
_cell_length_a 5.6530
_cell_length_b 8.3567
_cell_length_c 4.8552
_cell_angle_alpha 90.00
_cell_angle_beta 90.00
_cell_angle_gamma 90.00
loop_
_space_group_symop_operation_xyz
'x,y,z'
'-x+1/2,-y,z+1/2'
'-x,y,z'
'x+1/2,-y,z+1/2'
loop_
_atom_site_label
_atom_site_type_symbol
_atom_site_fract_x
_atom_site_fract_y
_atom_site_fract_z
_atom_site_occupancy
Li1 Li 0.0000 0.0673 0.0000 1
Mn1 Mn 0.0000 0.4804 0.1378 1
P1 P 0.0000 0.7229 0.7080 1
H1 H 0.1383 0.2862 0.6795 1
O1 O 0.0000 0.2736 0.8044 1
O2 O 0.0000 0.6829 0.3997 1
O3 O 0.0000 0.9037 0.7538 1
O4 O 0.2201 0.6409 0.8528 1
```

Record 4
This entry pairs a crystal structure of Li4Mn2Co3Ni3O16 with its simulated powder diffraction line list. Radiation: Cu Kα (λ = 1.5418 Å). Structure: the GGA+U geometry in the Materials Project.

Largest 10 diffraction maxima, low angle first, 2θ = 15–90°:
hkl  Position (°2θ)  Rel. int.
0 0 2  19.43  1000
1 1 -1  20.46  483
1 1 1  20.59  720
3 1 2  37.41  460
4 0 1  37.86  430
2 2 1  38.01  278
2 2 2  41.88  258
2 2 -3  47.37  298
2 2 3  47.76  431
6 2 0  65.57  366

```
data_Li4Mn2Co3Ni3O16
_space_group_name_H-M_alt 'C 1 m 1'
_space_group_IT_number 8
_cell_length_a 9.8853
_cell_length_b 5.6603
_cell_length_c 9.1370
_cell_angle_alpha 90.00
_cell_angle_beta 90.90
_cell_angle_gamma 90.00
loop_
_space_group_symop_operation_xyz
'x,y,z'
'x,-y,z'
'x+1/2,y+1/2,z'
'x+1/2,-y+1/2,z'
loop_
_atom_site_label
_atom_site_type_symbol
_atom_site_fract_x
_atom_site_fract_y
_atom_site_fract_z
_atom_site_occupancy
Li1 Li 0.0000 0.0000 0.0000 1
Li2 Li 0.0022 0.0000 0.5009 1
Li3 Li 0.1681 0.5000 0.1019 1
Li4 Li 0.3404 0.0000 0.6010 1
Mn1 Mn 0.1728 0.5000 0.5061 1
Mn2 Mn 0.3352 0.0000 0.0079 1
Co1 Co 0.3318 0.5000 0.7816 1
Co2 Co 0.4180 0.2453 0.2827 1
Ni1 Ni 0.0887 0.2544 0.7832 1
Ni2 Ni 0.1726 0.0000 0.2830 1
O1 O 0.0002 0.0000 0.6934 1
O2 O 0.0014 0.0000 0.1919 1
O3 O 0.0274 0.5000 0.6534 1
O4 O 0.0861 0.2477 0.4006 1
O5 O 0.1663 0.0000 0.9032 1
O6 O 0.1738 0.5000 0.8839 1
O7 O 0.2468 0.2815 0.6536 1
O8 O 0.2635 0.2194 0.1570 1
O9 O 0.3361 0.5000 0.3965 1
O10 O 0.3381 0.0000 0.3845 1
O11 O 0.4158 0.2486 0.9004 1
O12 O 0.4817 0.0000 0.1586 1
```

Record 5
This entry pairs a crystal structure of Rb4CoP6O24 with its simulated powder diffraction line list. Radiation: Cu Kα (λ = 1.5418 Å). Structure: the GGA+U geometry in the Materials Project.

Largest 10 diffraction maxima, low angle first, 2θ = 15–90°:
hkl  Position (°2θ)  Rel. int.
0 2 0  15.56  389
0 2 1  19.23  1000
0 0 2  22.55  366
2 2 0  22.81  385
2 2 -2  23.96  367
3 1 0  26.19  513
4 0 -2  26.58  412
2 0 -3  27.25  524
1 3 1  29.44  563
3 3 -2  31.75  438

```
data_Rb4CoP6O24
_space_group_name_H-M_alt 'C 1 2/m 1'
_space_group_IT_number 12
_cell_length_a 13.4685
_cell_length_b 11.3912
_cell_length_c 9.9240
_cell_angle_alpha 90.00
_cell_angle_beta 127.44
_cell_angle_gamma 90.00
loop_
_space_group_symop_operation_xyz
'x,y,z'
'-x,-y,-z'
'-x,y,-z'
'x,-y,z'
'x+1/2,y+1/2,z'
'-x+1/2,-y+1/2,-z'
'-x+1/2,y+1/2,-z'
'x+1/2,-y+1/2,z'
loop_
_atom_site_label
_atom_site_type_symbol
_atom_site_fract_x
_atom_site_fract_y
_atom_site_fract_z
_atom_site_occupancy
Rb1 Rb 0.0000 0.2253 0.0000 1
Rb2 Rb 0.1750 0.0000 0.4532 1
Co1 Co 0.0000 0.5000 0.5000 1
P1 P 0.1509 0.1337 0.7854 1
P2 P 0.2374 0.5000 0.8949 1
O1 O 0.0289 0.1780 0.7383 1
O2 O 0.0329 0.5000 0.0784 1
O3 O 0.0973 0.5000 0.7475 1
O4 O 0.1056 0.4054 0.5060 1
O5 O 0.1262 0.0000 0.7098 1
O6 O 0.1652 0.0000 0.1318 1
O7 O 0.2217 0.1967 0.7360 1
O8 O 0.2474 0.1097 0.9898 1
```

Record 6
This entry pairs a crystal structure of Li2TiCr3O8 with its simulated powder diffraction line list. Radiation: Cu Kα (λ = 1.5418 Å). Structure: the GGA+U geometry in the Materials Project.

Largest 10 diffraction maxima, low angle first, 2θ = 15–90°:
hkl  Position (°2θ)  Rel. int.
0 0 1  18.16  480
0 1 -1  18.29  1000
1 -1 0  18.39  391
1 -1 2  35.35  274
2 -1 1  35.51  222
-2 1 1  35.58  150
0 2 0  42.73  365
2 0 -2  43.16  348
2 -2 2  43.26  351
-2 2 2  62.35  210

```
data_Li2TiCr3O8
_space_group_name_H-M_alt 'P -1'
_space_group_IT_number 2
_cell_length_a 5.8988
_cell_length_b 5.9199
_cell_length_c 5.9454
_cell_angle_alpha 119.68
_cell_angle_beta 90.13
_cell_angle_gamma 119.50
loop_
_space_group_symop_operation_xyz
'x,y,z'
'-x,-y,-z'
loop_
_atom_site_label
_atom_site_type_symbol
_atom_site_fract_x
_atom_site_fract_y
_atom_site_fract_z
_atom_site_occupancy
Li1 Li 0.1264 0.2460 0.3717 1
Ti1 Ti 0.5000 0.0000 0.0000 1
Cr1 Cr 0.0000 0.5000 0.0000 1
Cr2 Cr 0.5000 0.0000 0.5000 1
Cr3 Cr 0.5000 0.5000 0.0000 1
O1 O 0.2632 0.9751 0.2307 1
O2 O 0.2718 0.5267 0.7877 1
O3 O 0.2759 0.5253 0.2324 1
O4 O 0.2856 0.0262 0.7683 1
```

Record 7
This entry pairs a crystal structure of Li9Mn2Co5O16 with its simulated powder diffraction line list. Radiation: Cu Kα (λ = 1.5418 Å). Structure: the GGA+U geometry in the Materials Project.

Largest 10 diffraction maxima, low angle first, 2θ = 15–90°:
hkl  Position (°2θ)  Rel. int.
0 1 -1  18.36  1000
2 0 -1  35.94  135
0 2 2  36.11  144
2 1 2  36.64  130
0 1 3  37.78  74
2 1 -2  43.36  279
0 3 1  43.63  273
2 0 3  44.39  259
2 4 -1  62.95  75
-2 2 3  63.46  143

```
data_Li9Mn2Co5O16
_space_group_name_H-M_alt 'P 1'
_space_group_IT_number 1
_cell_length_a 5.7970
_cell_length_b 6.5792
_cell_length_c 7.7111
_cell_angle_alpha 86.28
_cell_angle_beta 80.48
_cell_angle_gamma 77.27
loop_
_space_group_symop_operation_xyz
'x,y,z'
loop_
_atom_site_label
_atom_site_type_symbol
_atom_site_fract_x
_atom_site_fract_y
_atom_site_fract_z
_atom_site_occupancy
Li1 Li 0.0000 0.0000 0.0000 1
Li2 Li 0.0596 0.1235 0.6312 1
Li3 Li 0.1206 0.2420 0.2641 1
Li4 Li 0.2446 0.4957 0.4993 1
Li5 Li 0.3722 0.7564 0.7493 1
Li6 Li 0.5079 0.0015 0.0047 1
Li7 Li 0.6224 0.2425 0.2575 1
Li8 Li 0.7629 0.4907 0.5071 1
Li9 Li 0.8827 0.7483 0.7526 1
Mn1 Mn 0.1933 0.3686 0.8749 1
Mn2 Mn 0.5700 0.1224 0.6315 1
Co1 Co 0.3228 0.6244 0.1290 1
Co2 Co 0.4265 0.8842 0.3830 1
Co3 Co 0.6982 0.3700 0.8764 1
Co4 Co 0.8194 0.6246 0.1328 1
Co5 Co 0.9415 0.8804 0.3857 1
O1 O 0.0293 0.5604 0.3038 1
O2 O 0.1137 0.6638 0.9451 1
O3 O 0.1519 0.8056 0.5526 1
O4 O 0.2151 0.9294 0.1966 1
O5 O 0.2967 0.0829 0.8093 1
O6 O 0.3595 0.1685 0.4495 1
O7 O 0.4205 0.3232 0.0450 1
O8 O 0.4739 0.4153 0.7044 1
O9 O 0.5256 0.5764 0.3089 1
O10 O 0.6136 0.6593 0.9494 1
O11 O 0.6486 0.8341 0.5710 1
O12 O 0.7250 0.9226 0.2011 1
O13 O 0.7700 0.0812 0.8097 1
O14 O 0.8244 0.1794 0.4541 1
O15 O 0.9235 0.3166 0.0421 1
O16 O 0.9716 0.4296 0.7126 1
```